Entry 1:
For RbScSe2, the GGA-PBE geometry in Alexandria gives the computed powder diffraction line list in this record (a wavelength of 1.5418 Å).
No peak broadening, texture or thermal motion is included.

Cell and atoms:
a b c (Å): 3.975 7.200 8.032
angles (deg): 90.00 90.00 90.00
Space group Pmmn (No. 59, origin choice 2)
Inequivalent atoms, fractional coordinates:
1 Rb 0.250 0.250 0.071 (multiplicity 2)
2 Sc 0.250 0.750 0.441 (multiplicity 2)
3 Se 0.250 0.017 0.686 (multiplicity 4)

Principal peaks in the range 15 to 90 degrees two-theta, by angle:
2θ/deg	d [Å]	intensity
25.39	3.507	38
27.94	3.193	63
31.67	2.825	41
33.44	2.680	75
35.45	2.532	100
45.61	1.989	50


Entry 2:
For Cs3GeP2, the GGA-PBE geometry in Alexandria gives the computed powder diffraction line list in this record (a wavelength of 1.5418 Å).
No peak broadening, texture or thermal motion is included.

Cell and atoms:
a b c (Å): 23.553 4.407 13.749
angles (deg): 90.00 125.66 90.00
Space group C2/m (No. 12)
Inequivalent atoms, fractional coordinates:
1 Cs 0.037 0.000 0.258 (multiplicity 4)
2 Cs 0.170 0.500 0.995 (multiplicity 4)
3 Cs 0.192 0.000 0.619 (multiplicity 4)
4 Ge 0.063 0.500 0.643 (multiplicity 4)
5 P 0.061 0.500 0.468 (multiplicity 4)
6 P 0.116 0.000 0.764 (multiplicity 4)

Principal peaks in the range 15 to 90 degrees two-theta, by angle:
2θ/deg	d [Å]	intensity
22.64	3.927	54
23.15	3.843	100
27.81	3.207	58
32.91	2.721	29
33.39	2.683	57
35.34	2.540	37


Entry 3:
For Sm7TmTl2, the GGA-PBE geometry in Alexandria gives the computed powder diffraction line list in this record (a wavelength of 1.5418 Å).
No peak broadening, texture or thermal motion is included.

Cell and atoms:
a b c (Å): 9.315 16.022 5.310
angles (deg): 90.00 90.00 90.00
Space group Cmmm (No. 65)
Inequivalent atoms, fractional coordinates:
1 Sm 0.000 0.000 0.000 (multiplicity 2)
2 Sm 0.000 0.278 0.500 (multiplicity 4)
3 Sm 0.182 0.382 0.000 (multiplicity 8)
4 Tm 0.000 0.500 0.500 (multiplicity 2)
5 Tl 0.000 0.193 0.000 (multiplicity 4)

Principal peaks in the range 15 to 90 degrees two-theta, by angle:
2θ/deg	d [Å]	intensity
16.70	5.310	50
29.42	3.036	62
33.76	2.655	51
33.91	2.643	70
34.07	2.632	100
45.35	2.000	45


Entry 4:
For KPa4Se12, the GGA-PBE geometry in Alexandria gives the computed powder diffraction line list in this record (a wavelength of 1.5418 Å).
No peak broadening, texture or thermal motion is included.

Cell and atoms:
a b c (Å): 10.968 10.968 10.968
angles (deg): 90.00 90.00 90.00
Space group Im-3 (No. 204)
Inequivalent atoms, fractional coordinates:
1 K 0.000 0.000 0.000 (multiplicity 2)
2 Pa 0.250 0.250 0.250 (multiplicity 8)
3 Se 0.000 0.250 0.246 (multiplicity 24)

Principal peaks in the range 15 to 90 degrees two-theta, by angle:
2θ/deg	d [Å]	intensity
16.16	5.484	100
22.93	3.878	24
32.66	2.742	48
36.64	2.453	54
46.86	1.939	35
49.89	1.828	29


Entry 5:
For PrPaN, the GGA-PBE geometry in Alexandria gives the computed powder diffraction line list in this record (a wavelength of 1.5418 Å).
No peak broadening, texture or thermal motion is included.

Cell and atoms:
a b c (Å): 3.5793 3.5793 6.0935
angles (deg): 90.00 90.00 120.00
Space group P3m1 (No. 156)
Inequivalent atoms, fractional coordinates:
1 Pr 0.0000 0.0000 0.0000 (multiplicity 1)
2 Pa 0.6667 0.3333 0.5347 (multiplicity 1)
3 N 0.3333 0.6667 0.7174 (multiplicity 1)

Principal peaks in the range 15 to 90 degrees two-theta, by angle:
2θ/deg	d [Å]	intensity
28.80	3.100	22
29.31	3.047	26
32.41	2.763	100
41.56	2.173	23
53.97	1.699	23
59.95	1.543	21


Entry 6:
For Nd12DyIn3, the GGA-PBE geometry in Alexandria gives the computed powder diffraction line list in this record (a wavelength of 1.5418 Å).
No peak broadening, texture or thermal motion is included.

Cell and atoms:
a b c (Å): 5.002 5.002 20.383
angles (deg): 90.00 90.00 90.00
Space group P4/mmm (No. 123)
Inequivalent atoms, fractional coordinates:
1 Nd 0.000 0.000 0.000 (multiplicity 1)
2 Nd 0.000 0.000 0.246 (multiplicity 2)
3 Nd 0.000 0.000 0.500 (multiplicity 1)
4 Nd 0.000 0.500 0.123 (multiplicity 4)
5 Nd 0.000 0.500 0.369 (multiplicity 4)
6 Dy 0.500 0.500 0.500 (multiplicity 1)
7 In 0.500 0.500 0.000 (multiplicity 1)
8 In 0.500 0.500 0.244 (multiplicity 2)

Principal peaks in the range 15 to 90 degrees two-theta, by angle:
2θ/deg	d [Å]	intensity
30.77	2.906	100
35.22	2.548	17
35.91	2.501	33
51.18	1.785	23
60.46	1.531	13
61.37	1.511	28


Entry 7:
For HgH2Pd3, the GGA-PBE geometry in Alexandria gives the computed powder diffraction line list in this record (a wavelength of 1.5418 Å).
No peak broadening, texture or thermal motion is included.

Cell and atoms:
a b c (Å): 9.780 6.053 5.040
angles (deg): 90.00 90.00 90.00
Space group Cmc2_1 (No. 36)
Inequivalent atoms, fractional coordinates:
1 Hg 0.000 0.144 0.000 (multiplicity 4)
2 H 0.185 0.376 0.502 (multiplicity 8)
3 Pd 0.000 0.375 0.500 (multiplicity 4)
4 Pd 0.245 0.123 0.660 (multiplicity 8)

Principal peaks in the range 15 to 90 degrees two-theta, by angle:
2θ/deg	d [Å]	intensity
34.57	2.595	24
36.76	2.445	40
39.31	2.292	100
40.26	2.240	44
67.91	1.380	20
75.51	1.259	20


Entry 8:
For Al13Si5ClO38, the GGA-PBE geometry in Alexandria gives the computed powder diffraction line list in this record (a wavelength of 1.5418 Å).
No peak broadening, texture or thermal motion is included.

Cell and atoms:
a b c (Å): 13.981 13.981 13.981
angles (deg): 90.00 90.00 90.00
Space group F-43m (No. 216)
Inequivalent atoms, fractional coordinates:
1 Al 0.000 0.000 0.000 (multiplicity 4)
2 Al 0.017 0.166 0.834 (multiplicity 48)
3 Si 0.000 0.000 0.500 (multiplicity 4)
4 Si 0.134 0.134 0.634 (multiplicity 16)
5 Cl 0.250 0.250 0.250 (multiplicity 4)
6 O 0.030 0.250 0.250 (multiplicity 24)
7 O 0.067 0.067 0.567 (multiplicity 16)
8 O 0.074 0.074 0.195 (multiplicity 48)
9 O 0.075 0.075 0.925 (multiplicity 16)
10 O 0.111 0.111 0.748 (multiplicity 48)

Principal peaks in the range 15 to 90 degrees two-theta, by angle:
2θ/deg	d [Å]	intensity
21.08	4.215	100
22.02	4.036	64
31.34	2.854	43
33.30	2.691	97
44.92	2.018	28
55.79	1.648	45


Entry 9:
For SrAc3Mg8, the GGA-PBE geometry in Alexandria gives the computed powder diffraction line list in this record (a wavelength of 1.5418 Å).
No peak broadening, texture or thermal motion is included.

Cell and atoms:
a b c (Å): 6.3995 6.3995 10.3838
angles (deg): 90.00 90.00 120.00
Space group P3m1 (No. 156)
Inequivalent atoms, fractional coordinates:
1 Sr 0.0000 0.0000 0.0000 (multiplicity 1)
2 Ac 0.0000 0.0000 0.3811 (multiplicity 1)
3 Ac 0.6667 0.3333 0.4922 (multiplicity 1)
4 Ac 0.6667 0.3333 0.8638 (multiplicity 1)
5 Mg 0.1666 0.3331 0.6837 (multiplicity 3)
6 Mg 0.3333 0.6667 0.4316 (multiplicity 1)
7 Mg 0.3333 0.6667 0.9335 (multiplicity 1)
8 Mg 0.5016 0.0031 0.1849 (multiplicity 3)

Principal peaks in the range 15 to 90 degrees two-theta, by angle:
2θ/deg	d [Å]	intensity
15.99	5.542	55
18.14	4.889	45
27.88	3.200	85
30.45	2.936	100
32.88	2.724	83
50.96	1.792	48


Entry 10:
For Sr3TlSe4, the GGA-PBE geometry in Alexandria gives the computed powder diffraction line list in this record (a wavelength of 1.5418 Å).
No peak broadening, texture or thermal motion is included.

Cell and atoms:
a b c (Å): 6.145 10.635 9.205
angles (deg): 90.00 90.00 90.00
Space group Pmmn (No. 59, origin choice 2)
Inequivalent atoms, fractional coordinates:
1 Sr 0.250 0.001 0.167 (multiplicity 4)
2 Sr 0.250 0.750 0.660 (multiplicity 2)
3 Tl 0.250 0.250 0.671 (multiplicity 2)
4 Se 0.250 0.250 0.338 (multiplicity 2)
5 Se 0.250 0.503 0.833 (multiplicity 4)
6 Se 0.250 0.750 0.329 (multiplicity 2)

Principal peaks in the range 15 to 90 degrees two-theta, by angle:
2θ/deg	d [Å]	intensity
19.28	4.604	100
29.06	3.072	50
33.72	2.658	100
35.11	2.556	44
45.10	2.010	86
70.87	1.330	34